Entry 1:
The following is a theoretical X-ray powder pattern of CeMg3. It was derived from a DFT-relaxed cell (GGA-PBE, the Materials Project), using Cu Kα (weighted mean of Kα1 and Kα2).

Largest 6 diffraction maxima, in order of rising 2θ, 2θ = 15–90°:
- 2θ = 15.0°, I 32.9
- 2θ = 22.8°, I 83.2
- 2θ = 26.2°, I 38.9
- 2θ = 30.3°, I 24.6
- 2θ = 35.0°, I 100.0
- 2θ = 44.2°, I 27.5

Crystal structure
Cell lengths 6.8132, 6.8132, 5.1873 Å; angles 90.00, 90.00, 120.00 degrees
Atoms (fractional coordinates):
Ce 0.3333 0.6667 0.2500
Ce 0.6667 0.3333 0.7500
Mg 0.1634 0.3268 0.7500
Mg 0.1634 0.8366 0.7500
Mg 0.3268 0.1634 0.2500
Mg 0.6732 0.8366 0.7500
Mg 0.8366 0.1634 0.2500
Mg 0.8366 0.6732 0.2500

***

Entry 2:
The following is a theoretical X-ray powder pattern of Tb3Ge5. It was derived from a DFT-relaxed cell (GGA-PBE, the Materials Project), using Cu Kα (weighted mean of Kα1 and Kα2).

Largest 6 diffraction maxima, in order of rising 2θ, 2θ = 15–90°:
- 2θ = 29.1°, I 42.1
- 2θ = 33.5°, I 100.0
- 2θ = 39.3°, I 43.4
- 2θ = 44.1°, I 37.2
- 2θ = 60.5°, I 20.0
- 2θ = 74.3°, I 17.8

Crystal structure
Cell lengths 11.1287, 7.5028, 9.1864 Å; angles 82.99, 42.00, 55.01 degrees
Atoms (fractional coordinates):
Tb 0.0000 0.0000 0.0000
Tb 0.2500 0.2500 0.2500
Tb 0.3525 0.6629 0.3107
Tb 0.5762 0.9393 0.5871
Tb 0.6629 0.3525 0.6738
Tb 0.9393 0.5762 0.8975
Ge 0.0307 0.7783 0.3384
Ge 0.1766 0.4982 0.9972
Ge 0.2528 0.9220 0.0734
Ge 0.3974 0.9116 0.4717
Ge 0.4501 0.4501 0.5499
Ge 0.4982 0.1766 0.3280
Ge 0.7001 0.7001 0.7999
Ge 0.7783 0.0307 0.8526
Ge 0.9116 0.3974 0.2193
Ge 0.9220 0.2528 0.7518

***

Entry 3:
The following is a theoretical X-ray powder pattern of CaGe2Pt2. It was derived from a DFT-relaxed cell (GGA-PBE, the Materials Project), using Cu Kα (weighted mean of Kα1 and Kα2).

Largest 6 diffraction maxima, in order of rising 2θ, 2θ = 15–90°:
- 2θ = 16.9°, I 80.9
- 2θ = 22.5°, I 83.1
- 2θ = 34.1°, I 87.7
- 2θ = 34.3°, I 85.1
- 2θ = 45.6°, I 87.4
- 2θ = 45.9°, I 100.0

Crystal structure
Cell lengths 4.2866, 4.2747, 10.5021 Å; angles 90.00, 90.36, 90.00 degrees
Atoms (fractional coordinates):
Ca 0.2491 0.2500 0.2511
Ca 0.7509 0.7500 0.7489
Ge 0.2485 0.7500 0.4996
Ge 0.2610 0.2500 0.8673
Ge 0.7390 0.7500 0.1327
Ge 0.7515 0.2500 0.5004
Pt 0.2383 0.7500 0.0005
Pt 0.2536 0.2500 0.6334
Pt 0.7464 0.7500 0.3666
Pt 0.7617 0.2500 0.9995